Diffraction record for Li5Mg2Ag2. The X-ray powder pattern is computed, not measured: it uses a cell relaxed with GGA-PBE and Cu Kα (weighted mean of Kα1 and Kα2).
Intensities are scaled so that the largest is 100.

Cell and atoms:
```
data_Li5Mg2Ag2
_chemical_formula_sum 'Li10 Mg4 Ag4'
_space_group_name_H-M_alt 'P 1'
_space_group_IT_number 1
_cell_length_a 8.991
_cell_length_b 8.991
_cell_length_c 6.260
_cell_angle_alpha 90.00
_cell_angle_beta 90.00
_cell_angle_gamma 45.76
loop_
_space_group_symop_operation_xyz
'x,y,z'
loop_
_atom_site_label
_atom_site_fract_x
_atom_site_fract_y
_atom_site_fract_z
Li1 0.000 0.000 0.000
Li2 0.053 0.707 0.669
Li3 0.207 0.553 0.169
Li4 0.293 0.947 0.669
Li5 0.447 0.793 0.169
Li6 0.500 0.500 0.500
Li7 0.553 0.207 0.831
Li8 0.707 0.053 0.331
Li9 0.793 0.447 0.831
Li10 0.947 0.293 0.331
Mg1 0.228 0.228 0.000
Mg2 0.272 0.272 0.500
Mg3 0.728 0.728 0.500
Mg4 0.772 0.772 0.000
Ag1 0.153 0.847 0.369
Ag2 0.347 0.653 0.869
Ag3 0.653 0.347 0.131
Ag4 0.847 0.153 0.631
```

Most intense lines, 2θ = 10–90°, sorted by position:
2θ 10.68, rel. 100; 2θ 19.78, rel. 19; 2θ 21.45, rel. 42; 2θ 24.99, rel. 18; 2θ 31.23, rel. 24; 2θ 31.79, rel. 29; 2θ 35.37, rel. 27; 2θ 36.57, rel. 19; 2θ 41.73, rel. 33; 2θ 50.03, rel. 16

=====

Diffraction record for Y2TlO4F. The X-ray powder pattern is computed, not measured: it uses a cell relaxed with GGA-PBE and Cu Kα (weighted mean of Kα1 and Kα2).
Intensities are scaled so that the largest is 100.

Cell and atoms:
```
data_Y2TlO4F
_chemical_formula_sum 'Y4 Tl2 O8 F2'
_space_group_name_H-M_alt 'P 1'
_space_group_IT_number 1
_cell_length_a 10.672
_cell_length_b 3.367
_cell_length_c 6.474
_cell_angle_alpha 90.00
_cell_angle_beta 112.39
_cell_angle_gamma 90.00
loop_
_space_group_symop_operation_xyz
'x,y,z'
loop_
_atom_site_label
_atom_site_fract_x
_atom_site_fract_y
_atom_site_fract_z
Y1 0.189 0.000 0.199
Y2 0.311 0.500 0.801
Y3 0.689 0.500 0.199
Y4 0.811 0.000 0.801
Tl1 0.000 0.000 0.500
Tl2 0.500 0.500 0.500
O1 0.137 0.500 0.433
O2 0.177 0.000 0.828
O3 0.323 0.500 0.172
O4 0.363 0.000 0.567
O5 0.637 0.000 0.433
O6 0.677 0.500 0.828
O7 0.823 0.000 0.172
O8 0.863 0.500 0.567
F1 0.000 0.500 0.000
F2 0.500 0.000 0.000
```

Most intense lines, 2θ = 10–90°, sorted by position:
2θ 14.80, rel. 57; 2θ 27.46, rel. 84; 2θ 28.00, rel. 81; 2θ 28.38, rel. 89; 2θ 33.44, rel. 77; 2θ 33.61, rel. 39; 2θ 37.05, rel. 100; 2θ 41.88, rel. 52; 2θ 50.92, rel. 42; 2θ 55.90, rel. 43

=====

Diffraction record for CePuO3. The X-ray powder pattern is computed, not measured: it uses a cell relaxed with GGA-PBE and Cu Kα (weighted mean of Kα1 and Kα2).
Intensities are scaled so that the largest is 100.

Cell and atoms:
```
data_CePuO3
_chemical_formula_sum 'Ce1 Pu1 O3'
_space_group_name_H-M_alt 'P 1'
_space_group_IT_number 1
_cell_length_a 6.157
_cell_length_b 6.157
_cell_length_c 3.158
_cell_angle_alpha 90.00
_cell_angle_beta 90.00
_cell_angle_gamma 120.00
loop_
_space_group_symop_operation_xyz
'x,y,z'
loop_
_atom_site_label
_atom_site_fract_x
_atom_site_fract_y
_atom_site_fract_z
Ce1 0.000 0.000 0.000
Pu1 0.333 0.667 0.000
O1 0.167 0.333 0.500
O2 0.167 0.833 0.500
O3 0.667 0.833 0.500
```

Most intense lines, 2θ = 10–90°, sorted by position:
2θ 16.63, rel. 100; 2θ 28.26, rel. 20; 2θ 29.00, rel. 69; 2θ 32.96, rel. 28; 2θ 40.94, rel. 67; 2θ 44.47, rel. 21; 2θ 44.98, rel. 16; 2θ 51.41, rel. 15; 2θ 59.70, rel. 22; 2θ 89.83, rel. 15

=====

Diffraction record for Pr2Nb2Ge2C. The X-ray powder pattern is computed, not measured: it uses a cell relaxed with GGA-PBE and Cu Kα (weighted mean of Kα1 and Kα2).
Intensities are scaled so that the largest is 100.

Cell and atoms:
```
data_Pr2Nb2Ge2C
_chemical_formula_sum 'Pr4 Nb4 Ge4 C2'
_space_group_name_H-M_alt 'P 1'
_space_group_IT_number 1
_cell_length_a 4.318
_cell_length_b 4.318
_cell_length_c 15.850
_cell_angle_alpha 90.00
_cell_angle_beta 90.00
_cell_angle_gamma 90.00
loop_
_space_group_symop_operation_xyz
'x,y,z'
loop_
_atom_site_label
_atom_site_fract_x
_atom_site_fract_y
_atom_site_fract_z
Pr1 0.000 0.000 0.167
Pr2 0.000 0.000 0.833
Pr3 0.500 0.500 0.333
Pr4 0.500 0.500 0.667
Nb1 0.000 0.500 0.000
Nb2 0.000 0.500 0.500
Nb3 0.500 0.000 0.000
Nb4 0.500 0.000 0.500
Ge1 0.000 0.000 0.379
Ge2 0.000 0.000 0.621
Ge3 0.500 0.500 0.121
Ge4 0.500 0.500 0.879
C1 0.000 0.000 0.000
C2 0.500 0.500 0.500
```

Most intense lines, 2θ = 10–90°, sorted by position:
2θ 26.66, rel. 32; 2θ 29.25, rel. 27; 2θ 31.40, rel. 70; 2θ 33.94, rel. 31; 2θ 35.12, rel. 38; 2θ 37.17, rel. 100; 2θ 41.84, rel. 65; 2θ 54.92, rel. 30; 2θ 56.43, rel. 22; 2θ 73.33, rel. 27

=====

Diffraction record for PmGaCu2Ni2. The X-ray powder pattern is computed, not measured: it uses a cell relaxed with GGA-PBE and Cu Kα (weighted mean of Kα1 and Kα2).
Intensities are scaled so that the largest is 100.

Cell and atoms:
```
data_PmGaCu2Ni2
_chemical_formula_sum 'Pm1 Ga1 Cu2 Ni2'
_space_group_name_H-M_alt 'P 1'
_space_group_IT_number 1
_cell_length_a 4.367
_cell_length_b 4.367
_cell_length_c 5.530
_cell_angle_alpha 90.00
_cell_angle_beta 90.00
_cell_angle_gamma 90.00
loop_
_space_group_symop_operation_xyz
'x,y,z'
loop_
_atom_site_label
_atom_site_fract_x
_atom_site_fract_y
_atom_site_fract_z
Pm1 0.000 0.000 0.000
Ga1 0.000 0.000 0.500
Cu1 0.500 0.500 0.249
Cu2 0.500 0.500 0.751
Ni1 0.000 0.500 0.500
Ni2 0.500 0.000 0.500
```

Most intense lines, 2θ = 10–90°, sorted by position:
2θ 28.91, rel. 44; 2θ 32.38, rel. 14; 2θ 33.23, rel. 49; 2θ 38.54, rel. 100; 2θ 41.35, rel. 76; 2θ 57.80, rel. 59; 2θ 59.91, rel. 24; 2θ 67.83, rel. 16; 2θ 82.60, rel. 18; 2θ 88.04, rel. 18

=====

Diffraction record for Nb2Ga2Pd. The X-ray powder pattern is computed, not measured: it uses a cell relaxed with GGA-PBE and Cu Kα (weighted mean of Kα1 and Kα2).
Intensities are scaled so that the largest is 100.

Cell and atoms:
```
data_Nb2Ga2Pd
_chemical_formula_sum 'Nb4 Ga4 Pd2'
_space_group_name_H-M_alt 'P 1'
_space_group_IT_number 1
_cell_length_a 7.764
_cell_length_b 7.764
_cell_length_c 2.949
_cell_angle_alpha 90.00
_cell_angle_beta 90.00
_cell_angle_gamma 90.00
loop_
_space_group_symop_operation_xyz
'x,y,z'
loop_
_atom_site_label
_atom_site_fract_x
_atom_site_fract_y
_atom_site_fract_z
Nb1 0.121 0.379 0.000
Nb2 0.379 0.879 0.000
Nb3 0.621 0.121 0.000
Nb4 0.879 0.621 0.000
Ga1 0.179 0.679 0.500
Ga2 0.321 0.179 0.500
Ga3 0.679 0.821 0.500
Ga4 0.821 0.321 0.500
Pd1 0.000 0.000 0.000
Pd2 0.500 0.500 0.000
```

Most intense lines, 2θ = 10–90°, sorted by position:
2θ 32.62, rel. 22; 2θ 36.60, rel. 80; 2θ 38.33, rel. 45; 2θ 40.12, rel. 100; 2θ 41.96, rel. 23; 2θ 48.23, rel. 20; 2θ 52.66, rel. 17; 2θ 69.48, rel. 24; 2θ 73.08, rel. 14; 2θ 75.17, rel. 18

=====

Diffraction record for KRe2W. The X-ray powder pattern is computed, not measured: it uses a cell relaxed with GGA-PBE and Cu Kα (weighted mean of Kα1 and Kα2).
Intensities are scaled so that the largest is 100.

Cell and atoms:
```
data_KRe2W
_chemical_formula_sum 'K2 Re4 W2'
_space_group_name_H-M_alt 'P 1'
_space_group_IT_number 1
_cell_length_a 3.115
_cell_length_b 4.528
_cell_length_c 10.370
_cell_angle_alpha 90.00
_cell_angle_beta 90.00
_cell_angle_gamma 90.00
loop_
_space_group_symop_operation_xyz
'x,y,z'
loop_
_atom_site_label
_atom_site_fract_x
_atom_site_fract_y
_atom_site_fract_z
K1 0.000 0.000 0.000
K2 0.500 0.500 0.000
Re1 0.000 0.500 0.291
Re2 0.000 0.500 0.709
Re3 0.500 0.000 0.291
Re4 0.500 0.000 0.709
W1 0.000 0.000 0.500
W2 0.500 0.500 0.500
```

Most intense lines, 2θ = 10–90°, sorted by position:
2θ 34.60, rel. 20; 2θ 39.17, rel. 100; 2θ 39.82, rel. 28; 2θ 43.64, rel. 17; 2θ 43.94, rel. 39; 2θ 53.76, rel. 12; 2θ 59.34, rel. 9; 2θ 60.54, rel. 12; 2θ 71.85, rel. 17; 2θ 73.86, rel. 23

=====

Diffraction record for Dy3Ho7Tm2. The X-ray powder pattern is computed, not measured: it uses a cell relaxed with GGA-PBE and Cu Kα (weighted mean of Kα1 and Kα2).
Intensities are scaled so that the largest is 100.

Cell and atoms:
```
data_Dy3Ho7Tm2
_chemical_formula_sum 'Dy3 Ho7 Tm2'
_space_group_name_H-M_alt 'P 1'
_space_group_IT_number 1
_cell_length_a 5.732
_cell_length_b 3.526
_cell_length_c 18.466
_cell_angle_alpha 90.00
_cell_angle_beta 93.44
_cell_angle_gamma 90.00
loop_
_space_group_symop_operation_xyz
'x,y,z'
loop_
_atom_site_label
_atom_site_fract_x
_atom_site_fract_y
_atom_site_fract_z
Dy1 0.000 0.000 0.000
Dy2 0.278 0.500 0.633
Dy3 0.722 0.500 0.367
Ho1 0.186 0.500 0.144
Ho2 0.243 0.000 0.463
Ho3 0.312 0.000 0.821
Ho4 0.500 0.500 0.000
Ho5 0.688 0.000 0.179
Ho6 0.757 0.000 0.537
Ho7 0.814 0.500 0.856
Tm1 0.210 0.000 0.294
Tm2 0.790 0.000 0.706
```

Most intense lines, 2θ = 10–90°, sorted by position:
2θ 29.07, rel. 28; 2θ 31.04, rel. 28; 2θ 31.32, rel. 63; 2θ 31.64, rel. 100; 2θ 31.96, rel. 32; 2θ 32.23, rel. 47; 2θ 32.79, rel. 24; 2θ 33.94, rel. 29; 2θ 35.17, rel. 35; 2θ 38.04, rel. 22

=====

Diffraction record for CaCu2OsI. The X-ray powder pattern is computed, not measured: it uses a cell relaxed with GGA-PBE and Cu Kα (weighted mean of Kα1 and Kα2).
Intensities are scaled so that the largest is 100.

Cell and atoms:
```
data_CaCu2OsI
_chemical_formula_sum 'Ca1 Cu2 Os1 I1'
_space_group_name_H-M_alt 'P 1'
_space_group_IT_number 1
_cell_length_a 4.741
_cell_length_b 4.741
_cell_length_c 5.762
_cell_angle_alpha 90.00
_cell_angle_beta 90.00
_cell_angle_gamma 90.00
loop_
_space_group_symop_operation_xyz
'x,y,z'
loop_
_atom_site_label
_atom_site_fract_x
_atom_site_fract_y
_atom_site_fract_z
Ca1 0.000 0.000 0.000
Cu1 0.000 0.500 0.500
Cu2 0.500 0.000 0.500
Os1 0.000 0.000 0.500
I1 0.500 0.500 0.000
```

Most intense lines, 2θ = 10–90°, sorted by position:
2θ 15.38, rel. 23; 2θ 24.31, rel. 100; 2θ 26.59, rel. 26; 2θ 31.04, rel. 46; 2θ 37.96, rel. 53; 2θ 41.32, rel. 16; 2θ 45.59, rel. 38; 2θ 49.81, rel. 48; 2θ 54.76, rel. 18; 2θ 64.29, rel. 22

=====

Diffraction record for Cs3Tl3Pd2. The X-ray powder pattern is computed, not measured: it uses a cell relaxed with GGA-PBE and Cu Kα (weighted mean of Kα1 and Kα2).
Intensities are scaled so that the largest is 100.

Cell and atoms:
```
data_Cs3Tl3Pd2
_chemical_formula_sum 'Cs12 Tl12 Pd8'
_space_group_name_H-M_alt 'P 1'
_space_group_IT_number 1
_cell_length_a 9.671
_cell_length_b 17.007
_cell_length_c 7.184
_cell_angle_alpha 90.00
_cell_angle_beta 90.00
_cell_angle_gamma 90.00
loop_
_space_group_symop_operation_xyz
'x,y,z'
loop_
_atom_site_label
_atom_site_fract_x
_atom_site_fract_y
_atom_site_fract_z
Cs1 0.046 0.111 0.103
Cs2 0.046 0.389 0.103
Cs3 0.229 0.250 0.550
Cs4 0.271 0.750 0.050
Cs5 0.454 0.611 0.603
Cs6 0.454 0.889 0.603
Cs7 0.546 0.111 0.397
Cs8 0.546 0.389 0.397
Cs9 0.729 0.250 0.950
Cs10 0.771 0.750 0.450
Cs11 0.954 0.611 0.897
Cs12 0.954 0.889 0.897
Tl1 0.141 0.750 0.513
Tl2 0.158 0.038 0.613
Tl3 0.158 0.462 0.613
Tl4 0.342 0.538 0.113
Tl5 0.342 0.962 0.113
Tl6 0.359 0.250 0.013
Tl7 0.641 0.750 0.987
Tl8 0.658 0.038 0.887
Tl9 0.658 0.462 0.887
Tl10 0.842 0.538 0.387
Tl11 0.842 0.962 0.387
Tl12 0.859 0.250 0.487
Pd1 0.125 0.593 0.372
Pd2 0.125 0.907 0.372
Pd3 0.375 0.093 0.872
Pd4 0.375 0.407 0.872
Pd5 0.625 0.593 0.128
Pd6 0.625 0.907 0.128
Pd7 0.875 0.093 0.628
Pd8 0.875 0.407 0.628
```

Most intense lines, 2θ = 10–90°, sorted by position:
2θ 15.36, rel. 31; 2θ 26.04, rel. 49; 2θ 26.98, rel. 39; 2θ 27.94, rel. 36; 2θ 30.39, rel. 78; 2θ 30.64, rel. 33; 2θ 30.88, rel. 100; 2θ 31.55, rel. 26; 2θ 40.26, rel. 32; 2θ 46.33, rel. 27

=====

Diffraction record for Ac4AlZn. The X-ray powder pattern is computed, not measured: it uses a cell relaxed with GGA-PBE and Cu Kα (weighted mean of Kα1 and Kα2).
Intensities are scaled so that the largest is 100.

Cell and atoms:
```
data_Ac4AlZn
_chemical_formula_sum 'Ac4 Al1 Zn1'
_space_group_name_H-M_alt 'P 1'
_space_group_IT_number 1
_cell_length_a 5.465
_cell_length_b 5.465
_cell_length_c 7.717
_cell_angle_alpha 90.00
_cell_angle_beta 90.00
_cell_angle_gamma 90.00
loop_
_space_group_symop_operation_xyz
'x,y,z'
loop_
_atom_site_label
_atom_site_fract_x
_atom_site_fract_y
_atom_site_fract_z
Ac1 0.000 0.500 0.248
Ac2 0.000 0.500 0.752
Ac3 0.500 0.000 0.248
Ac4 0.500 0.000 0.752
Al1 0.000 0.000 0.500
Zn1 0.500 0.500 0.000
```

Most intense lines, 2θ = 10–90°, sorted by position:
2θ 23.03, rel. 76; 2θ 32.79, rel. 100; 2θ 40.45, rel. 24; 2θ 47.06, rel. 19; 2θ 53.02, rel. 34; 2θ 58.54, rel. 39; 2θ 68.74, rel. 12; 2θ 73.56, rel. 15; 2θ 78.24, rel. 11; 2θ 82.87, rel. 7

=====

Diffraction record for Y2AlZn2Ni5. The X-ray powder pattern is computed, not measured: it uses a cell relaxed with GGA-PBE and Cu Kα (weighted mean of Kα1 and Kα2).
Intensities are scaled so that the largest is 100.

Cell and atoms:
```
data_Y2AlZn2Ni5
_chemical_formula_sum 'Y4 Al2 Zn4 Ni10'
_space_group_name_H-M_alt 'P 1'
_space_group_IT_number 1
_cell_length_a 9.359
_cell_length_b 9.359
_cell_length_c 3.489
_cell_angle_alpha 90.00
_cell_angle_beta 90.00
_cell_angle_gamma 90.00
loop_
_space_group_symop_operation_xyz
'x,y,z'
loop_
_atom_site_label
_atom_site_fract_x
_atom_site_fract_y
_atom_site_fract_z
Y1 0.177 0.323 0.000
Y2 0.323 0.823 0.000
Y3 0.677 0.177 0.000
Y4 0.823 0.677 0.000
Al1 0.000 0.000 0.000
Al2 0.500 0.500 0.000
Zn1 0.121 0.621 0.000
Zn2 0.379 0.121 0.000
Zn3 0.621 0.879 0.000
Zn4 0.879 0.379 0.000
Ni1 0.000 0.500 0.500
Ni2 0.057 0.801 0.500
Ni3 0.199 0.057 0.500
Ni4 0.301 0.557 0.500
Ni5 0.443 0.301 0.500
Ni6 0.500 0.000 0.500
Ni7 0.557 0.699 0.500
Ni8 0.699 0.443 0.500
Ni9 0.801 0.943 0.500
Ni10 0.943 0.199 0.500
```

Most intense lines, 2θ = 10–90°, sorted by position:
2θ 13.38, rel. 18; 2θ 32.00, rel. 16; 2θ 37.46, rel. 21; 2θ 39.71, rel. 56; 2θ 39.94, rel. 100; 2θ 40.91, rel. 32; 2θ 43.45, rel. 50; 2θ 46.74, rel. 25; 2θ 52.45, rel. 25; 2θ 67.74, rel. 21